This entry pairs a crystal structure of MnTl2H2OF5 with its calculated powder XRD pattern. Radiation: Cu Kα (weighted mean of Kα1 and Kα2). Structure: a structure optimized by DFT (PBE+U).
Peak positions follow from Bragg's law for the DFT cell and can differ from measured ones.

Most intense lines, 2θ = 10–90°, in order of rising 2θ:
| two_theta | d_spacing | I (rel.) |
| --- | --- | --- |
| 17.67 | 5.019 | 87.9 |
| 20.87 | 4.257 | 59.6 |
| 24.68 | 3.607 | 63.2 |
| 27.50 | 3.243 | 84.6 |
| 30.54 | 2.927 | 60.5 |
| 30.74 | 2.908 | 50.3 |
| 30.89 | 2.895 | 100.0 |
| 35.70 | 2.515 | 52.4 |
| 43.37 | 2.087 | 40.7 |
| 48.05 | 1.893 | 41.2 |

Structure:
```
MnTl2H2OF5
1.0
5.006 -3.983 0.000
5.006 3.983 0.000
0.000 0.000 8.514
Mn Tl H O F
2 4 4 2 10
direct
0.000 0.000 0.000 Mn
0.000 0.000 0.500 Mn
0.113 0.489 0.750 Tl
0.489 0.113 0.250 Tl
0.511 0.887 0.750 Tl
0.887 0.511 0.250 Tl
0.366 0.634 0.157 H
0.366 0.634 0.343 H
0.634 0.366 0.657 H
0.634 0.366 0.843 H
0.441 0.559 0.250 O
0.559 0.441 0.750 O
0.000 0.000 0.250 F
0.000 0.000 0.750 F
0.189 0.189 0.000 F
0.189 0.189 0.500 F
0.242 0.758 0.505 F
0.242 0.758 0.995 F
0.758 0.242 0.005 F
0.758 0.242 0.495 F
0.811 0.811 0.000 F
0.811 0.811 0.500 F
```